[1]
Theoretical powder diffraction line list of LuMgCuGe for Cu Kα, from DFT lattice parameters and positions (GGA-PBE).
Lines closer than 0.1° are merged.

Main lines, low angle first (2θ = 10–90°):
2θ 23.00, I = 44
2θ 26.62, I = 3
2θ 38.00, I = 100
2θ 44.88, I = 23
2θ 47.00, I = 1
2θ 54.83, I = 17
2θ 60.23, I = 10
2θ 61.96, I = 1
2θ 68.65, I = 34
2θ 73.46, I = 7
2θ 81.25, I = 11
2θ 85.83, I = 8

Atomic structure:
Cell lengths 4.7361, 4.7361, 4.7361 Å; angles 60.00, 60.00, 60.00 degrees
Fractional positions:
Lu 0.0000 0.0000 0.0000
Mg 0.5000 0.5000 0.5000
Cu 0.7500 0.7500 0.7500
Ge 0.2500 0.2500 0.2500

[2]
Theoretical powder diffraction line list of Ti2CrSi6 for Cu Kα, from DFT lattice parameters and positions (GGA-PBE).
Lines closer than 0.1° are merged.

Main lines, low angle first (2θ = 10–90°):
2θ 26.15, I = 15
2θ 38.69, I = 16
2θ 41.24, I = 100
2θ 41.48, I = 49
2θ 42.03, I = 53
2θ 48.22, I = 59
2θ 48.43, I = 32
2θ 71.13, I = 19
2θ 72.09, I = 17
2θ 77.18, I = 14
2θ 82.97, I = 13
2θ 86.20, I = 10

Atomic structure:
Cell lengths 4.6551, 4.6551, 6.4495 Å; angles 90.00, 90.00, 120.42 degrees
Fractional positions:
Ti 0.0000 0.5000 0.1643
Ti 0.5000 0.0000 0.8357
Cr 0.0000 0.0000 0.5000
Si 0.1792 0.3362 0.8273
Si 0.3334 0.6666 0.5000
Si 0.3362 0.1792 0.1727
Si 0.6638 0.8208 0.1727
Si 0.6666 0.3334 0.5000
Si 0.8208 0.6638 0.8273

[3]
Theoretical powder diffraction line list of K3TlFe2Cl9 for Cu Kα, from DFT lattice parameters and positions (GGA-PBE).
Lines closer than 0.1° are merged.

Main lines, low angle first (2θ = 10–90°):
2θ 14.45, I = 18
2θ 16.80, I = 100
2θ 22.47, I = 50
2θ 25.16, I = 34
2θ 30.41, I = 13
2θ 33.98, I = 81
2θ 34.65, I = 12
2θ 36.35, I = 30
2θ 39.86, I = 22
2θ 42.75, I = 16
2θ 51.64, I = 23
2θ 85.97, I = 13

Atomic structure:
Cell lengths 7.0803, 7.0803, 10.3558 Å; angles 90.00, 90.00, 120.00 degrees
Fractional positions:
K 0.0000 0.0000 0.0000
K 0.3333 0.6667 0.7598
K 0.6667 0.3333 0.2402
Tl 0.0000 0.0000 0.5000
Fe 0.3333 0.6667 0.1569
Fe 0.6667 0.3333 0.8431
Cl 0.0000 0.5000 0.0000
Cl 0.1708 0.3416 0.2736
Cl 0.1708 0.8292 0.2736
Cl 0.3416 0.1708 0.7264
Cl 0.5000 0.0000 0.0000
Cl 0.5000 0.5000 0.0000
Cl 0.6584 0.8292 0.2736
Cl 0.8292 0.1708 0.7264
Cl 0.8292 0.6584 0.7264

[4]
Theoretical powder diffraction line list of LiTlZnI4 for Cu Kα, from DFT lattice parameters and positions (GGA-PBE).
Lines closer than 0.1° are merged.

Main lines, low angle first (2θ = 10–90°):
2θ 14.51, I = 36
2θ 19.66, I = 34
2θ 23.68, I = 56
2θ 24.53, I = 70
2θ 25.35, I = 49
2θ 27.23, I = 42
2θ 27.54, I = 100
2θ 28.13, I = 34
2θ 29.12, I = 36
2θ 30.93, I = 39
2θ 39.94, I = 39
2θ 48.29, I = 41

Atomic structure:
Cell lengths 6.9230, 9.0296, 9.5011 Å; angles 90.00, 101.79, 90.00 degrees
Fractional positions:
Li 0.1995 0.2500 0.3177
Li 0.8005 0.7500 0.6823
Tl 0.3515 0.2500 0.9481
Tl 0.6485 0.7500 0.0519
Zn 0.2845 0.7500 0.6936
Zn 0.7155 0.2500 0.3064
I 0.0071 0.7500 0.4650
I 0.1157 0.7500 0.9247
I 0.4622 0.0244 0.2675
I 0.4622 0.4756 0.2675
I 0.5378 0.5244 0.7325
I 0.5378 0.9756 0.7325
I 0.8843 0.2500 0.0753
I 0.9929 0.2500 0.5350

[5]
Theoretical powder diffraction line list of YThBiAs for Cu Kα, from DFT lattice parameters and positions (GGA-PBE).
Lines closer than 0.1° are merged.

Main lines, low angle first (2θ = 10–90°):
2θ 12.27, I = 12
2θ 24.05, I = 18
2θ 28.94, I = 100
2θ 31.54, I = 16
2θ 41.13, I = 36
2θ 41.65, I = 39
2θ 51.51, I = 21
2θ 57.21, I = 9
2θ 59.97, I = 12
2θ 67.57, I = 15
2θ 68.31, I = 18
2θ 75.66, I = 12

Atomic structure:
Cell lengths 7.6345, 7.6345, 7.6345 Å; angles 33.00, 33.00, 33.00 degrees
Fractional positions:
Y 0.0000 0.0000 0.0000
Th 0.5182 0.5182 0.5182
Bi 0.7566 0.7566 0.7566
As 0.2618 0.2618 0.2618

[6]
Theoretical powder diffraction line list of Ba4NbP4O18F2 for Cu Kα, from DFT lattice parameters and positions (GGA-PBE).
Lines closer than 0.1° are merged.

Main lines, low angle first (2θ = 10–90°):
2θ 18.44, I = 21
2θ 21.36, I = 18
2θ 22.18, I = 21
2θ 24.75, I = 24
2θ 25.80, I = 46
2θ 26.04, I = 52
2θ 26.44, I = 48
2θ 27.31, I = 100
2θ 29.04, I = 38
2θ 34.98, I = 19
2θ 38.90, I = 29
2θ 41.61, I = 17

Atomic structure:
Cell lengths 7.1829, 7.8409, 8.4185 Å; angles 92.07, 98.24, 96.63 degrees
Fractional positions:
Ba 0.0953 0.4021 0.2541
Ba 0.1893 0.1301 0.7047
Ba 0.8107 0.8699 0.2953
Ba 0.9047 0.5979 0.7459
Nb 0.5000 0.5000 0.0000
P 0.2680 0.8367 0.0898
P 0.4035 0.6663 0.6239
P 0.5965 0.3337 0.3761
P 0.7320 0.1633 0.9102
O 0.1342 0.7537 0.1991
O 0.1675 0.8460 0.9162
O 0.2120 0.5576 0.5770
O 0.2355 0.4336 0.9426
O 0.3355 0.0306 0.1349
O 0.3842 0.8602 0.6531
O 0.4463 0.7357 0.0950
O 0.4676 0.3174 0.5084
O 0.4827 0.4006 0.2226
O 0.5173 0.5994 0.7774
O 0.5324 0.6826 0.4916
O 0.5537 0.2643 0.9050
O 0.6158 0.1398 0.3469
O 0.6645 0.9694 0.8651
O 0.7645 0.5664 0.0574
O 0.7880 0.4424 0.4230
O 0.8325 0.1540 0.0838
O 0.8658 0.2463 0.8009
F 0.0573 0.1355 0.4082
F 0.9427 0.8645 0.5918

[7]
Theoretical powder diffraction line list of RbAcHg2S4 for Cu Kα, from DFT lattice parameters and positions (GGA-PBE).
Lines closer than 0.1° are merged.

Main lines, low angle first (2θ = 10–90°):
2θ 15.08, I = 37
2θ 22.16, I = 36
2θ 24.55, I = 25
2θ 26.47, I = 100
2θ 28.93, I = 13
2θ 33.31, I = 46
2θ 33.50, I = 16
2θ 40.54, I = 20
2θ 41.64, I = 32
2θ 44.41, I = 25
2θ 54.56, I = 15
2θ 55.49, I = 13

Atomic structure:
Cell lengths 6.9190, 6.9190, 6.9190 Å; angles 116.78, 109.14, 102.80 degrees
Fractional positions:
Rb 0.0000 0.0000 0.0000
Ac 0.5000 0.5000 0.0000
Hg 0.3041 0.8041 0.5000
Hg 0.6959 0.1959 0.5000
S 0.1110 0.0507 0.5626
S 0.4881 0.5484 0.4374
S 0.5119 0.9493 0.0603
S 0.8890 0.4516 0.9397

[8]
Theoretical powder diffraction line list of Pm2PuP3 for Cu Kα, from DFT lattice parameters and positions (GGA-PBE).
Lines closer than 0.1° are merged.

Main lines, low angle first (2θ = 10–90°):
2θ 10.22, I = 7
2θ 22.35, I = 6
2θ 26.72, I = 93
2θ 30.95, I = 100
2θ 44.34, I = 74
2θ 52.53, I = 47
2θ 55.05, I = 26
2θ 64.47, I = 8
2θ 71.12, I = 19
2θ 73.26, I = 34
2θ 81.63, I = 26
2θ 87.74, I = 11

Atomic structure:
Cell lengths 9.1289, 9.1289, 9.1289 Å; angles 154.12, 154.12, 36.92 degrees
Fractional positions:
Pm 0.1675 0.1675 0.0000
Pm 0.8325 0.8325 0.0000
Pu 0.5000 0.5000 0.0000
P 0.0000 0.0000 0.0000
P 0.3366 0.3366 0.0000
P 0.6634 0.6634 0.0000

[9]
Theoretical powder diffraction line list of Pm4Ho2Er3 for Cu Kα, from DFT lattice parameters and positions (GGA-PBE).
Lines closer than 0.1° are merged.

Main lines, low angle first (2θ = 10–90°):
2θ 30.74, I = 10
2θ 31.33, I = 100
2θ 31.77, I = 98
2θ 45.22, I = 34
2θ 51.93, I = 9
2θ 56.32, I = 33
2θ 56.60, I = 16
2θ 62.17, I = 30
2θ 66.38, I = 9
2θ 75.24, I = 12
2θ 80.38, I = 12
2θ 89.01, I = 8

Atomic structure:
Cell lengths 9.7561, 9.7561, 7.0426 Å; angles 90.00, 90.00, 119.99 degrees
Fractional positions:
Pm 0.0261 0.6790 0.0000
Pm 0.3192 0.3506 0.0000
Pm 0.3210 0.9739 0.5000
Pm 0.3506 0.3192 0.5000
Pm 0.6494 0.6808 0.5000
Pm 0.6790 0.0261 0.5000
Pm 0.6808 0.6494 0.0000
Pm 0.9739 0.3210 0.0000
Ho 0.0280 0.3485 0.5000
Ho 0.3485 0.0280 0.0000
Ho 0.6515 0.9720 0.0000
Ho 0.9720 0.6515 0.5000
Er 0.0000 0.0000 0.2500
Er 0.0000 0.0000 0.7500
Er 0.3298 0.6702 0.2500
Er 0.3298 0.6702 0.7500
Er 0.6702 0.3298 0.2500
Er 0.6702 0.3298 0.7500

[10]
Theoretical powder diffraction line list of RbNdTm4S8 for Cu Kα, from DFT lattice parameters and positions (GGA-PBE).
Lines closer than 0.1° are merged.

Main lines, low angle first (2θ = 10–90°):
2θ 13.25, I = 26
2θ 21.33, I = 27
2θ 25.00, I = 46
2θ 25.39, I = 100
2θ 25.59, I = 55
2θ 26.68, I = 26
2θ 30.68, I = 53
2θ 39.84, I = 28
2θ 40.24, I = 36
2θ 40.50, I = 31
2θ 43.46, I = 60
2θ 44.43, I = 59

Atomic structure:
Cell lengths 8.3336, 8.3336, 8.3336 Å; angles 58.59, 58.59, 58.59 degrees
Fractional positions:
Rb 0.0000 0.0000 0.0000
Nd 0.3634 0.3634 0.3634
Tm 0.3647 0.3647 0.8816
Tm 0.3647 0.8816 0.3647
Tm 0.7432 0.7432 0.7432
Tm 0.8816 0.3647 0.3647
S 0.1290 0.1290 0.5652
S 0.1290 0.5652 0.1290
S 0.1365 0.6165 0.6165
S 0.1401 0.1401 0.1401
S 0.5652 0.1290 0.1290
S 0.6120 0.6120 0.6120
S 0.6165 0.1365 0.6165
S 0.6165 0.6165 0.1365

[11]
Theoretical powder diffraction line list of V3Co2H for Cu Kα, from DFT lattice parameters and positions (GGA-PBE).
Lines closer than 0.1° are merged.

Main lines, low angle first (2θ = 10–90°):
2θ 15.09, I = 18
2θ 41.29, I = 16
2θ 43.25, I = 85
2θ 43.47, I = 100
2θ 44.27, I = 87
2θ 45.13, I = 18
2θ 46.38, I = 12
2θ 50.48, I = 18
2θ 53.79, I = 12
2θ 63.17, I = 22
2θ 79.61, I = 12
2θ 80.32, I = 14

Atomic structure:
Cell lengths 6.2907, 6.2907, 2.5756 Å; angles 97.88, 97.88, 38.67 degrees
Fractional positions:
V 0.0000 0.0000 0.0000
V 0.3745 0.3745 0.5306
V 0.6255 0.6255 0.4694
Co 0.1901 0.1901 0.9236
Co 0.8099 0.8099 0.0764
H 0.5000 0.5000 0.0000

[12]
Theoretical powder diffraction line list of Er2Sc2Hg for Cu Kα, from DFT lattice parameters and positions (GGA-PBE).
Lines closer than 0.1° are merged.

Main lines, low angle first (2θ = 10–90°):
2θ 18.61, I = 59
2θ 26.15, I = 39
2θ 32.05, I = 9
2θ 34.46, I = 100
2θ 36.94, I = 44
2θ 41.67, I = 16
2θ 45.61, I = 9
2θ 45.81, I = 29
2θ 53.24, I = 16
2θ 60.08, I = 16
2θ 60.23, I = 14
2θ 64.98, I = 31

Atomic structure:
Cell lengths 12.4202, 12.4202, 12.4202 Å; angles 157.40, 157.40, 32.17 degrees
Fractional positions:
Er 0.0501 0.3001 0.7500
Er 0.3001 0.0501 0.2500
Er 0.6999 0.9499 0.7500
Er 0.9499 0.6999 0.2500
Sc 0.2003 0.4503 0.7500
Sc 0.4503 0.2003 0.2500
Sc 0.5497 0.7997 0.7500
Sc 0.7997 0.5497 0.2500
Hg 0.1250 0.8750 0.2500
Hg 0.8750 0.1250 0.7500

[13]
Theoretical powder diffraction line list of CsLaSe for Cu Kα, from DFT lattice parameters and positions (GGA-PBE).
Lines closer than 0.1° are merged.

Main lines, low angle first (2θ = 10–90°):
2θ 22.71, I = 23
2θ 22.85, I = 73
2θ 23.70, I = 29
2θ 27.17, I = 40
2θ 28.03, I = 23
2θ 28.97, I = 57
2θ 32.58, I = 100
2θ 32.82, I = 27
2θ 34.23, I = 42
2θ 43.12, I = 27
2θ 52.54, I = 27
2θ 52.78, I = 24

Atomic structure:
Cell lengths 7.0333, 7.0333, 10.7911 Å; angles 123.79, 123.79, 34.71 degrees
Fractional positions:
Cs 0.0000 0.0000 0.0000
Cs 0.6613 0.6613 0.8213
La 0.3357 0.3357 0.3935
La 0.6240 0.6240 0.4308
Se 0.3106 0.3106 0.6579
Se 0.3638 0.3638 0.1456